For Ta3Co2Mo, a DFT-relaxed cell (GGA-PBE, the Materials Project) gives the computed powder diffraction line list in this record (Cu Ka).

Top 6 peaks for 2θ from 10° to 90°, sorted by position:
2θ 36.45, rel. 272
2θ 37.65, rel. 1000
2θ 38.00, rel. 805
2θ 42.37, rel. 259
2θ 47.54, rel. 525
2θ 66.43, rel. 330

Crystal structure
```
data_Ta3Co2Mo
_chemical_formula_sum 'Ta12 Co8 Mo4'
_cell_length_a 4.9300
_cell_length_b 8.6496
_cell_length_c 8.5242
_cell_angle_alpha 90.00
_cell_angle_beta 90.00
_cell_angle_gamma 90.00
_symmetry_space_group_name_H-M 'F m m 2'
_symmetry_Int_Tables_number 42
_symmetry_space_group_name_Hall 'F 2 -2'
loop_
_atom_site_label
_atom_site_fract_x
_atom_site_fract_y
_atom_site_fract_z
Ta1 0.0000 0.0000 0.0000
Ta2 0.0000 0.1605 0.6582
Co1 0.2500 0.2500 0.4085
Mo1 0.0000 0.0000 0.3165
```